[1]
Nd6In22Pt13: simulated XRD peak list (Cu Kα X-rays), based on a crystal structure in Alexandria, relaxed with GGA-PBE.
Intensities are scaled so that the largest is 100.

Most intense lines, 10 to 90 degrees two-theta, by angle:
2θ/deg  d [Å]  I (rel.)  (hkl)
31.88  2.807  49  5 1 2
33.58  2.669  88  7 1 1
34.02  2.635  69  7 1 -4
34.78  2.580  61  9 1 -2
40.28  2.239  100  0 2 0
41.12  2.195  54  11 1 -1

Structure:
```
data_Nd6In22Pt13
_cell_length_a 28.4217
_cell_length_b 4.4780
_cell_length_c 15.2050
_cell_angle_alpha 90.00
_cell_angle_beta 112.39
_cell_angle_gamma 90.00
_space_group_name_H-M_alt 'C 1 2/m 1'
_space_group_IT_number 12
_space_group_name_Hall '-C 2y'
loop_
_atom_site_label
_atom_site_fract_x
_atom_site_fract_y
_atom_site_fract_z
Nd1 0.0469 0.0000 0.1978
Nd2 0.1640 0.5000 0.0326
Nd3 0.1780 0.5000 0.5795
In1 0.0296 0.0000 0.6805
In2 0.0430 0.5000 0.8406
In3 0.0553 0.5000 0.5653
In4 0.0657 0.0000 0.0027
In5 0.0910 0.0000 0.4519
In6 0.1238 0.5000 0.3311
In7 0.1438 0.5000 0.7822
In8 0.1759 0.0000 0.2227
In9 0.2130 0.0000 0.9347
In10 0.2280 0.0000 0.7470
In11 0.2380 0.5000 0.4167
Pt1 0.0000 0.5000 0.0000
Pt2 0.0323 0.5000 0.3623
Pt3 0.0995 0.5000 0.1369
Pt4 0.1070 0.0000 0.8631
Pt5 0.1184 0.0000 0.6501
Pt6 0.1794 0.0000 0.4109
Pt7 0.2479 0.0000 0.1362
```

***

[2]
Nd2In12Pt7: simulated XRD peak list (Cu Kα X-rays), based on a crystal structure in Alexandria, relaxed with GGA-PBE.
Intensities are scaled so that the largest is 100.

Most intense lines, 10 to 90 degrees two-theta, by angle:
2θ/deg  d [Å]  I (rel.)  (hkl)
32.54  2.752  100  1 2 1
35.08  2.558  19  3 0 1
39.72  2.269  41  3 1 1
42.14  2.144  54  4 1 0
44.22  2.048  28  0 0 2
62.73  1.481  33  4 1 2

Structure:
```
data_Nd2In12Pt7
_cell_length_a 11.3461
_cell_length_b 11.3461
_cell_length_c 4.0969
_cell_angle_alpha 90.00
_cell_angle_beta 90.00
_cell_angle_gamma 120.00
_space_group_name_H-M_alt 'P -6'
_space_group_IT_number 174
_space_group_name_Hall 'P -6'
loop_
_atom_site_label
_atom_site_fract_x
_atom_site_fract_y
_atom_site_fract_z
Nd1 0.0000 0.0000 0.0000
Nd2 0.3333 0.6667 0.5000
In1 0.0492 0.7696 0.5000
In2 0.1118 0.3942 0.0000
In3 0.3886 0.2154 0.0000
In4 0.5305 0.1081 0.5000
Pt1 0.0770 0.6142 0.0000
Pt2 0.2442 0.0372 0.5000
Pt3 0.6667 0.3333 0.0000
```

***

[3]
Nd12InPt7: simulated XRD peak list (Cu Kα X-rays), based on a crystal structure in Alexandria, relaxed with GGA-PBE.
Intensities are scaled so that the largest is 100.

Most intense lines, 10 to 90 degrees two-theta, by angle:
2θ/deg  d [Å]  I (rel.)  (hkl)
31.09  2.877  66  4 1 1
31.37  2.851  35  3 3 0
32.37  2.766  41  3 2 3
33.12  2.705  39  4 2 0
33.87  2.647  100  3 1 4
35.69  2.515  53  4 1 3

Structure:
```
data_Nd12InPt7
_cell_length_a 12.0969
_cell_length_b 12.0969
_cell_length_c 14.6623
_cell_angle_alpha 90.00
_cell_angle_beta 90.00
_cell_angle_gamma 90.00
_space_group_name_H-M_alt 'I 4/m c m'
_space_group_IT_number 140
_space_group_name_Hall '-I 4 2c'
loop_
_atom_site_label
_atom_site_fract_x
_atom_site_fract_y
_atom_site_fract_z
Nd1 0.0000 0.5000 0.1352
Nd2 0.0728 0.2074 0.1430
Nd3 0.1760 0.3240 0.5000
In1 0.0000 0.0000 0.0000
Pt1 0.0000 0.0000 0.2500
Pt2 0.1263 0.3737 0.0000
Pt3 0.1742 0.3258 0.3051
```

***

[4]
Rb3Nd3InS8: simulated XRD peak list (Cu Kα X-rays), based on a crystal structure in Alexandria, relaxed with GGA-PBE.
Intensities are scaled so that the largest is 100.

Most intense lines, 10 to 90 degrees two-theta, by angle:
2θ/deg  d [Å]  I (rel.)  (hkl)
11.26  7.857  43  0 0 3
22.63  3.929  21  0 0 6
25.99  3.429  36  2 0 2
29.17  3.062  100  0 2 4
39.60  2.276  36  2 0 8
43.75  2.069  33  2 2 0

Structure:
```
data_Rb3Nd3InS8
_cell_length_a 8.2758
_cell_length_b 8.2758
_cell_length_c 23.5721
_cell_angle_alpha 90.00
_cell_angle_beta 90.00
_cell_angle_gamma 120.00
_space_group_name_H-M_alt 'R -3 m'
_space_group_IT_number 166
_space_group_name_Hall '-R 3 2"'
loop_
_atom_site_label
_atom_site_fract_x
_atom_site_fract_y
_atom_site_fract_z
Rb1 0.0000 0.5000 0.0000
Nd1 0.0000 0.5000 0.5000
In1 0.0000 0.0000 0.5000
S1 0.0000 0.0000 0.2324
S2 0.0160 0.5080 0.2295
```

***

[5]
RbNdInTe3: simulated XRD peak list (Cu Kα X-rays), based on a crystal structure in Alexandria, relaxed with GGA-PBE.
Intensities are scaled so that the largest is 100.

Most intense lines, 10 to 90 degrees two-theta, by angle:
2θ/deg  d [Å]  I (rel.)  (hkl)
10.45  8.469  100  1 0 -1
26.37  3.380  91  2 1 -1
26.70  3.339  65  2 1 0
27.91  3.196  45  1 0 3
37.80  2.380  45  2 1 -4
38.40  2.344  33  0 2 0

Structure:
```
data_RbNdInTe3
_cell_length_a 9.8813
_cell_length_b 4.6883
_cell_length_c 11.6420
_cell_angle_alpha 90.00
_cell_angle_beta 105.66
_cell_angle_gamma 90.00
_space_group_name_H-M_alt 'P 1 21/m 1'
_space_group_IT_number 11
_space_group_name_Hall '-P 2yb'
loop_
_atom_site_label
_atom_site_fract_x
_atom_site_fract_y
_atom_site_fract_z
Rb1 0.1971 0.2500 0.2217
Nd1 0.3395 0.7500 0.8739
In1 0.0672 0.2500 0.6215
Te1 0.1167 0.2500 0.8804
Te2 0.2311 0.7500 0.5764
Te3 0.4525 0.7500 0.1535
```

***

[6]
Nd6In3Rh: simulated XRD peak list (Cu Kα X-rays), based on a crystal structure in Alexandria, relaxed with GGA-PBE.
Intensities are scaled so that the largest is 100.

Most intense lines, 10 to 90 degrees two-theta, by angle:
2θ/deg  d [Å]  I (rel.)  (hkl)
29.58  3.020  75  1 1 -4
33.20  2.699  100  2 0 -2
35.85  2.505  26  0 2 4
45.03  2.013  14  2 2 -5
57.09  1.613  13  2 4 -5
59.26  1.559  12  3 3 -3

Structure:
```
data_Nd6In3Rh
_cell_length_a 5.4067
_cell_length_b 9.3308
_cell_length_c 13.0362
_cell_angle_alpha 90.00
_cell_angle_beta 114.44
_cell_angle_gamma 90.00
_space_group_name_H-M_alt 'P 1 21/c 1'
_space_group_IT_number 14
_space_group_name_Hall '-P 2ybc'
loop_
_atom_site_label
_atom_site_fract_x
_atom_site_fract_y
_atom_site_fract_z
Nd1 0.0799 0.1867 0.0811
Nd2 0.2388 0.5091 0.2369
Nd3 0.4161 0.1568 0.4183
In1 0.2296 0.6562 0.7312
In2 0.5000 0.0000 0.0000
Rh1 0.0000 0.0000 0.5000
```

***

[7]
Nd2In5Rh3: simulated XRD peak list (Cu Kα X-rays), based on a crystal structure in Alexandria, relaxed with GGA-PBE.
Intensities are scaled so that the largest is 100.

Most intense lines, 10 to 90 degrees two-theta, by angle:
2θ/deg  d [Å]  I (rel.)  (hkl)
31.59  2.832  27  1 1 2
33.05  2.710  100  1 3 2
35.85  2.505  17  0 10 1
36.26  2.478  17  1 9 0
39.84  2.263  34  2 0 0
68.04  1.378  17  3 3 2

Structure:
```
data_Nd2In5Rh3
_cell_length_a 4.5252
_cell_length_b 26.6467
_cell_length_c 7.3348
_cell_angle_alpha 90.00
_cell_angle_beta 90.00
_cell_angle_gamma 90.00
_space_group_name_H-M_alt 'C m c 21'
_space_group_IT_number 36
_space_group_name_Hall 'C 2c -2'
loop_
_atom_site_label
_atom_site_fract_x
_atom_site_fract_y
_atom_site_fract_z
Nd1 0.0000 0.0260 0.0000
Nd2 0.0000 0.3249 0.9036
In1 0.0000 0.0980 0.6146
In2 0.0000 0.2063 0.0977
In3 0.0000 0.2098 0.6950
In4 0.0000 0.3727 0.4554
In5 0.0000 0.4471 0.8286
Rh1 0.0000 0.1094 0.2335
Rh2 0.0000 0.2702 0.3930
Rh3 0.0000 0.4547 0.2131
```

***

[8]
Nd3InRh: simulated XRD peak list (Cu Kα X-rays), based on a crystal structure in Alexandria, relaxed with GGA-PBE.
Intensities are scaled so that the largest is 100.

Most intense lines, 10 to 90 degrees two-theta, by angle:
2θ/deg  d [Å]  I (rel.)  (hkl)
26.98  3.304  38  1 1 1
30.03  2.976  100  2 1 -1
31.54  2.836  44  2 1 0
32.76  2.734  59  2 1 -2
36.24  2.479  67  0 2 0
36.59  2.456  52  1 1 -3

Structure:
```
data_Nd3InRh
_cell_length_a 7.4623
_cell_length_b 4.9571
_cell_length_c 8.4807
_cell_angle_alpha 90.00
_cell_angle_beta 112.04
_cell_angle_gamma 90.00
_space_group_name_H-M_alt 'P 1 21/m 1'
_space_group_IT_number 11
_space_group_name_Hall '-P 2yb'
loop_
_atom_site_label
_atom_site_fract_x
_atom_site_fract_y
_atom_site_fract_z
Nd1 0.0581 0.2500 0.2565
Nd2 0.3044 0.2500 0.9380
Nd3 0.3437 0.7500 0.5970
In1 0.3151 0.7500 0.1914
Rh1 0.0812 0.2500 0.6013
```

***

[9]
Nd5In2Rh2: simulated XRD peak list (Cu Kα X-rays), based on a crystal structure in Alexandria, relaxed with GGA-PBE.
Intensities are scaled so that the largest is 100.

Most intense lines, 10 to 90 degrees two-theta, by angle:
2θ/deg  d [Å]  I (rel.)  (hkl)
29.13  3.066  65  3 1 2
30.21  2.959  87  4 0 2
32.09  2.789  86  0 2 2
33.74  2.656  73  1 1 3
34.82  2.576  100  4 2 1
39.07  2.305  46  1 3 1

Structure:
```
data_Nd5In2Rh2
_cell_length_a 16.1428
_cell_length_b 7.2526
_cell_length_c 8.7014
_cell_angle_alpha 90.00
_cell_angle_beta 90.00
_cell_angle_gamma 90.00
_space_group_name_H-M_alt 'C m c e'
_space_group_IT_number 64
_space_group_name_Hall '-C 2ac 2'
loop_
_atom_site_label
_atom_site_fract_x
_atom_site_fract_y
_atom_site_fract_z
Nd1 0.0000 0.0000 0.0000
Nd2 0.1205 0.1585 0.3187
In1 0.2147 0.0000 0.0000
Rh1 0.0000 0.1322 0.6203
```

***

[10]
Nd11In9Rh4: simulated XRD peak list (Cu Kα X-rays), based on a crystal structure in Alexandria, relaxed with GGA-PBE.
Intensities are scaled so that the largest is 100.

Most intense lines, 10 to 90 degrees two-theta, by angle:
2θ/deg  d [Å]  I (rel.)  (hkl)
33.49  2.675  100  4 0 1
33.61  2.667  98  0 6 1
34.03  2.634  74  4 6 0
35.77  2.510  34  3 5 1
47.45  1.916  38  0 0 2
59.68  1.549  29  4 6 2

Structure:
```
data_Nd11In9Rh4
_cell_length_a 14.9464
_cell_length_b 22.2844
_cell_length_c 3.8313
_cell_angle_alpha 90.00
_cell_angle_beta 90.00
_cell_angle_gamma 90.00
_space_group_name_H-M_alt 'C m m m'
_space_group_IT_number 65
_space_group_name_Hall '-C 2 2'
loop_
_atom_site_label
_atom_site_fract_x
_atom_site_fract_y
_atom_site_fract_z
Nd1 0.0000 0.0000 0.0000
Nd2 0.0000 0.1624 0.0000
Nd3 0.0000 0.3741 0.0000
Nd4 0.1877 0.5000 0.0000
Nd5 0.2469 0.1695 0.0000
In1 0.0000 0.5000 0.5000
In2 0.1031 0.2643 0.5000
In3 0.1484 0.0702 0.5000
Rh1 0.1531 0.3986 0.5000
```